Structure and simulated PXRD pattern of BaH16O10 (DFT lattice parameters and positions (PBE); Cu Kα).

Atomic structure:
Cell: 6.4104 6.4104 11.7491 Å, 92.31 92.31 91.02°
Fractional positions:
1 Ba 0.0124 0.9876 0.5000
2 Ba 0.9876 0.0124 0.0000
3 H 0.0227 0.4600 0.8718
4 H 0.0313 0.5267 0.3659
5 H 0.0631 0.5630 0.6473
6 H 0.1359 0.3527 0.2192
7 H 0.2574 0.4020 0.9039
8 H 0.2614 0.7731 0.7871
9 H 0.2723 0.4114 0.1155
10 H 0.2715 0.5799 0.4006
11 H 0.2978 0.6092 0.6174
12 H 0.3006 0.8702 0.2133
13 H 0.3527 0.1359 0.7192
14 H 0.3837 0.7102 0.9004
15 H 0.3907 0.7261 0.1128
16 H 0.4020 0.2574 0.4039
17 H 0.4114 0.2723 0.6155
18 H 0.4600 0.0227 0.3718
19 H 0.5267 0.0313 0.8659
20 H 0.5630 0.0631 0.1473
21 H 0.5799 0.2715 0.9006
22 H 0.5982 0.7010 0.4014
23 H 0.6092 0.2978 0.1174
24 H 0.6256 0.9366 0.6686
25 H 0.6341 0.7014 0.6204
26 H 0.7010 0.5982 0.9014
27 H 0.7014 0.6341 0.1204
28 H 0.7102 0.3837 0.4004
29 H 0.7112 0.7925 0.2926
30 H 0.7261 0.3907 0.6128
31 H 0.7731 0.2614 0.2871
32 H 0.7925 0.7112 0.7926
33 H 0.8702 0.3006 0.7133
34 H 0.9366 0.6256 0.1686
35 O 0.1190 0.3399 0.8741
36 O 0.1287 0.3596 0.1363
37 O 0.1384 0.6400 0.3665
38 O 0.1680 0.6778 0.6472
39 O 0.3162 0.8330 0.8625
40 O 0.3330 0.8705 0.1327
41 O 0.3399 0.1190 0.3741
42 O 0.3596 0.1287 0.6363
43 O 0.4908 0.4990 0.9491
44 O 0.4978 0.5084 0.0764
45 O 0.4990 0.4908 0.4491
46 O 0.5084 0.4978 0.5764
47 O 0.6400 0.1384 0.8665
48 O 0.6594 0.8334 0.3687
49 O 0.6778 0.1680 0.1472
50 O 0.7239 0.8227 0.6566
51 O 0.8227 0.7239 0.1566
52 O 0.8330 0.3162 0.3625
53 O 0.8334 0.6594 0.8687
54 O 0.8705 0.3330 0.6327

The 10 most intense peaks (2θ = 15–90°), sorted by position:
2θ/deg  d [Å]  I_rel
15.11  5.865  98
19.80  4.485  46
20.11  4.416  64
20.96  4.239  60
24.28  3.666  52
24.69  3.606  100
25.69  3.468  48
31.27  2.860  51
32.40  2.763  58
44.47  2.037  47